(1)
Pr2YHoSc: calculated powder XRD pattern (Cu Kα (weighted mean of Kα1 and Kα2)), based on a PBE-relaxed structure.
Neutral-atom scattering factors, no anomalous dispersion.

Largest 10 diffraction maxima, sorted by position, 10 to 90 degrees two-theta:
- 26.72°, intensity 99, hkl 2 2 0
- 29.21°, intensity 100, hkl 0 2 2
- 31.24°, intensity 52, hkl 0 4 0
- 33.01°, intensity 87, hkl 2 0 2
- 33.67°, intensity 22, hkl 3 1 0
- 35.92°, intensity 26, hkl 1 3 2
- 40.56°, intensity 23, hkl 3 3 0
- 46.09°, intensity 57, hkl 2 4 2
- 50.48°, intensity 16, hkl 0 0 4
- 58.03°, intensity 23, hkl 2 2 4

Crystal structure
```
data_Pr2YHoSc
_chemical_formula_sum 'Pr8 Y4 Ho4 Sc4'
_cell_length_a 8.211
_cell_length_b 11.453
_cell_length_c 7.231
_cell_angle_alpha 90.00
_cell_angle_beta 90.00
_cell_angle_gamma 90.00
_space_group_name_H-M_alt 'C m c m'
_space_group_IT_number 63
_space_group_name_Hall '-C 2c 2'
loop_
_atom_site_label
_atom_site_fract_x
_atom_site_fract_y
_atom_site_fract_z
Pr1 0.200 0.000 0.000
Y1 0.000 0.248 0.250
Ho1 0.000 0.222 0.750
Sc1 0.000 0.481 0.750
```

(2)
Pr2YHo4Sc: calculated powder XRD pattern (Cu Kα (weighted mean of Kα1 and Kα2)), based on a PBE-relaxed structure.
Neutral-atom scattering factors, no anomalous dispersion.

Largest 10 diffraction maxima, sorted by position, 10 to 90 degrees two-theta:
- 30.87°, intensity 100, hkl 1 1 2
- 35.68°, intensity 34, hkl 2 0 0
- 36.02°, intensity 16, hkl 0 0 4
- 51.35°, intensity 12, hkl 2 2 0
- 51.61°, intensity 23, hkl 2 0 4
- 61.12°, intensity 28, hkl 3 1 2
- 61.58°, intensity 13, hkl 1 1 6
- 64.32°, intensity 12, hkl 2 2 4
- 83.83°, intensity 6, hkl 3 3 2
- 84.23°, intensity 11, hkl 3 1 6

Crystal structure
```
data_Pr2YHo4Sc
_chemical_formula_sum 'Pr2 Y1 Ho4 Sc1'
_cell_length_a 5.033
_cell_length_b 5.033
_cell_length_c 9.973
_cell_angle_alpha 90.00
_cell_angle_beta 90.00
_cell_angle_gamma 90.00
_space_group_name_H-M_alt 'P 4/m m m'
_space_group_IT_number 123
_space_group_name_Hall '-P 4 2'
loop_
_atom_site_label
_atom_site_fract_x
_atom_site_fract_y
_atom_site_fract_z
Pr1 0.000 0.000 0.000
Pr2 0.500 0.500 0.500
Y1 0.000 0.000 0.500
Ho1 0.000 0.500 0.244
Sc1 0.500 0.500 0.000
```

(3)
PrY6Ho2Sc3: calculated powder XRD pattern (Cu Kα (weighted mean of Kα1 and Kα2)), based on a PBE-relaxed structure.
Neutral-atom scattering factors, no anomalous dispersion.

Largest 10 diffraction maxima, sorted by position, 10 to 90 degrees two-theta:
- 31.22°, intensity 100, hkl 1 3 1
- 31.49°, intensity 32, hkl 0 0 4
- 36.28°, intensity 66, hkl 2 0 2
- 52.08°, intensity 23, hkl 0 6 0
- 52.43°, intensity 21, hkl 1 3 5
- 61.98°, intensity 13, hkl 4 0 0
- 62.14°, intensity 26, hkl 3 3 3
- 62.45°, intensity 12, hkl 2 0 6
- 65.12°, intensity 11, hkl 2 6 2
- 85.16°, intensity 11, hkl 4 6 0

Crystal structure
```
data_PrY6Ho2Sc3
_chemical_formula_sum 'Pr2 Y12 Ho4 Sc6'
_cell_length_a 6.085
_cell_length_b 10.536
_cell_length_c 11.544
_cell_angle_alpha 90.00
_cell_angle_beta 100.10
_cell_angle_gamma 90.00
_space_group_name_H-M_alt 'C 1 2/m 1'
_space_group_IT_number 12
_space_group_name_Hall '-C 2y'
loop_
_atom_site_label
_atom_site_fract_x
_atom_site_fract_y
_atom_site_fract_z
Pr1 0.000 0.000 0.000
Y1 0.246 0.333 0.740
Y2 0.247 0.000 0.740
Ho1 0.000 0.333 0.000
Sc1 0.000 0.167 0.500
Sc2 0.000 0.500 0.500
```

(4)
PrY6Ho2Sc: calculated powder XRD pattern (Cu Kα (weighted mean of Kα1 and Kα2)), based on a PBE-relaxed structure.
Neutral-atom scattering factors, no anomalous dispersion.

Largest 10 diffraction maxima, sorted by position, 10 to 90 degrees two-theta:
- 21.80°, intensity 43, hkl 1 3 -1
- 28.46°, intensity 73, hkl 1 3 2
- 29.36°, intensity 26, hkl 3 1 0
- 29.85°, intensity 82, hkl 2 2 -2
- 30.68°, intensity 67, hkl 2 2 2
- 30.83°, intensity 38, hkl 3 1 -1
- 31.29°, intensity 48, hkl 2 4 -1
- 31.65°, intensity 100, hkl 1 5 -1
- 32.75°, intensity 83, hkl 0 2 3
- 42.56°, intensity 26, hkl 1 1 -4

Crystal structure
```
data_PrY6Ho2Sc
_chemical_formula_sum 'Pr4 Y24 Ho8 Sc4'
_cell_length_a 9.305
_cell_length_b 15.739
_cell_length_c 8.753
_cell_angle_alpha 90.00
_cell_angle_beta 91.79
_cell_angle_gamma 90.00
_space_group_name_H-M_alt 'C 1 2/c 1'
_space_group_IT_number 15
_space_group_name_Hall '-C 2yc'
loop_
_atom_site_label
_atom_site_fract_x
_atom_site_fract_y
_atom_site_fract_z
Pr1 0.000 0.033 0.250
Y1 0.038 0.171 0.948
Y2 0.105 0.371 0.091
Y3 0.247 0.293 0.706
Ho1 0.233 0.444 0.442
Sc1 0.000 0.443 0.750
```

(5)
Pr2HoSe3: calculated powder XRD pattern (Cu Kα (weighted mean of Kα1 and Kα2)), based on a PBE-relaxed structure.
Neutral-atom scattering factors, no anomalous dispersion.

Largest 10 diffraction maxima, sorted by position, 10 to 90 degrees two-theta:
- 25.75°, intensity 9, hkl 2 2 0
- 26.26°, intensity 9, hkl 0 2 6
- 30.12°, intensity 100, hkl 0 4 0
- 42.45°, intensity 13, hkl 4 0 0
- 43.12°, intensity 49, hkl 2 4 6
- 43.75°, intensity 12, hkl 0 0 12
- 52.94°, intensity 13, hkl 4 4 0
- 54.04°, intensity 13, hkl 0 4 12
- 62.62°, intensity 12, hkl 0 8 0
- 71.05°, intensity 22, hkl 2 8 6

Crystal structure
```
data_Pr2HoSe3
_chemical_formula_sum 'Pr32 Ho16 Se48'
_cell_length_a 8.517
_cell_length_b 11.863
_cell_length_c 24.829
_cell_angle_alpha 90.00
_cell_angle_beta 90.00
_cell_angle_gamma 90.00
_space_group_name_H-M_alt 'F d d d'
_space_group_IT_number 70
loop_
_space_group_symop_operation_xyz
'x,y,z'
'-x,-y,-z'
'-x+1/4,-y+1/4,z'
'x+1/4,y+1/4,-z'
'x,-y+1/4,-z+1/4'
'-x,y+1/4,z+1/4'
'-x+1/4,y,-z+1/4'
'x+1/4,-y,z+1/4'
'x,y+1/2,z+1/2'
'-x,-y+1/2,-z+1/2'
'-x+1/4,-y+3/4,z+1/2'
'x+1/4,y+3/4,-z+1/2'
'x,-y+3/4,-z+3/4'
'-x,y+3/4,z+3/4'
'-x+1/4,y+1/2,-z+3/4'
'x+1/4,-y+1/2,z+3/4'
'x+1/2,y,z+1/2'
'-x+1/2,-y,-z+1/2'
'-x+3/4,-y+1/4,z+1/2'
'x+3/4,y+1/4,-z+1/2'
'x+1/2,-y+1/4,-z+3/4'
'-x+1/2,y+1/4,z+3/4'
'-x+3/4,y,-z+3/4'
'x+3/4,-y,z+3/4'
'x+1/2,y+1/2,z'
'-x+1/2,-y+1/2,-z'
'-x+3/4,-y+3/4,z'
'x+3/4,y+3/4,-z'
'x+1/2,-y+3/4,-z+1/4'
'-x+1/2,y+3/4,z+1/4'
'-x+3/4,y+1/2,-z+1/4'
'x+3/4,-y+1/2,z+1/4'
loop_
_atom_site_label
_atom_site_fract_x
_atom_site_fract_y
_atom_site_fract_z
Pr1 0.125 0.125 0.045
Pr2 0.125 0.125 0.373
Ho1 0.125 0.125 0.542
Se1 0.108 0.375 0.875
Se2 0.118 0.368 0.711
```

(6)
Pr5Ho3Se8: calculated powder XRD pattern (Cu Kα (weighted mean of Kα1 and Kα2)), based on a PBE-relaxed structure.
Neutral-atom scattering factors, no anomalous dispersion.

Largest 10 diffraction maxima, sorted by position, 10 to 90 degrees two-theta:
- 26.21°, intensity 13, hkl 2 0 2
- 30.17°, intensity 100, hkl 0 2 4
- 42.77°, intensity 38, hkl 2 0 8
- 43.59°, intensity 36, hkl 2 2 0
- 52.53°, intensity 7, hkl 0 0 12
- 53.93°, intensity 19, hkl 4 0 4
- 62.72°, intensity 12, hkl 0 4 8
- 70.57°, intensity 16, hkl 2 2 12
- 71.76°, intensity 16, hkl 2 4 4
- 79.48°, intensity 12, hkl 4 2 8

Crystal structure
```
data_Pr5Ho3Se8
_chemical_formula_sum 'Pr15 Ho9 Se24'
_cell_length_a 8.3047
_cell_length_b 8.3047
_cell_length_c 20.9067
_cell_angle_alpha 90.00
_cell_angle_beta 90.00
_cell_angle_gamma 120.00
_space_group_name_H-M_alt 'R -3 m'
_space_group_IT_number 166
_space_group_name_Hall '-R 3 2"'
loop_
_atom_site_label
_atom_site_fract_x
_atom_site_fract_y
_atom_site_fract_z
Pr1 0.0000 0.0000 0.0000
Pr2 0.0000 0.0000 0.5000
Pr3 0.0000 0.5000 0.0000
Ho1 0.0000 0.5000 0.5000
Se1 0.0000 0.0000 0.2433
Se2 0.0091 0.5045 0.7547
```

(7)
Pr3HoSe4: calculated powder XRD pattern (Cu Kα (weighted mean of Kα1 and Kα2)), based on a PBE-relaxed structure.
Neutral-atom scattering factors, no anomalous dispersion.

Largest 10 diffraction maxima, sorted by position, 10 to 90 degrees two-theta:
- 25.61°, intensity 9, hkl 2 2 0
- 29.98°, intensity 100, hkl 2 0 1
- 42.22°, intensity 13, hkl 4 0 0
- 42.90°, intensity 50, hkl 2 4 1
- 43.62°, intensity 12, hkl 0 0 2
- 52.63°, intensity 13, hkl 4 4 0
- 53.82°, intensity 13, hkl 0 4 2
- 62.30°, intensity 12, hkl 4 0 2
- 70.65°, intensity 22, hkl 4 4 2
- 77.66°, intensity 8, hkl 6 4 1

Crystal structure
```
data_Pr3HoSe4
_chemical_formula_sum 'Pr6 Ho2 Se8'
_cell_length_a 8.562
_cell_length_b 11.931
_cell_length_c 4.150
_cell_angle_alpha 90.00
_cell_angle_beta 90.00
_cell_angle_gamma 90.00
_space_group_name_H-M_alt 'C m m m'
_space_group_IT_number 65
_space_group_name_Hall '-C 2 2'
loop_
_atom_site_label
_atom_site_fract_x
_atom_site_fract_y
_atom_site_fract_z
Pr1 0.000 0.000 0.000
Pr2 0.250 0.250 0.500
Ho1 0.000 0.500 0.000
Se1 0.000 0.257 0.000
Se2 0.236 0.500 0.500
```

(8)
Pr3HoSe4: calculated powder XRD pattern (Cu Kα (weighted mean of Kα1 and Kα2)), based on a PBE-relaxed structure.
Neutral-atom scattering factors, no anomalous dispersion.

Largest 10 diffraction maxima, sorted by position, 10 to 90 degrees two-theta:
- 26.02°, intensity 8, hkl 1 2 -1
- 29.98°, intensity 100, hkl 1 2 1
- 42.65°, intensity 38, hkl 2 0 2
- 43.11°, intensity 25, hkl 1 2 -3
- 43.30°, intensity 12, hkl 0 4 0
- 52.56°, intensity 7, hkl 4 0 0
- 53.31°, intensity 7, hkl 0 0 4
- 53.53°, intensity 13, hkl 2 4 -2
- 62.37°, intensity 8, hkl 2 4 2
- 70.25°, intensity 11, hkl 3 2 3

Crystal structure
```
data_Pr3HoSe4
_chemical_formula_sum 'Pr6 Ho2 Se8'
_cell_length_a 7.375
_cell_length_b 8.358
_cell_length_c 7.279
_cell_angle_alpha 90.00
_cell_angle_beta 109.20
_cell_angle_gamma 90.00
_space_group_name_H-M_alt 'P 1 2/c 1'
_space_group_IT_number 13
_space_group_name_Hall '-P 2yc'
loop_
_atom_site_label
_atom_site_fract_x
_atom_site_fract_y
_atom_site_fract_z
Pr1 0.000 0.122 0.250
Pr2 0.000 0.373 0.750
Pr3 0.500 0.123 0.750
Ho1 0.500 0.373 0.250
Se1 0.257 0.133 0.007
Se2 0.263 0.382 0.499
```

(9)
Pr4HoSe7: calculated powder XRD pattern (Cu Kα (weighted mean of Kα1 and Kα2)), based on a PBE-relaxed structure.
Neutral-atom scattering factors, no anomalous dispersion.

Largest 10 diffraction maxima, sorted by position, 10 to 90 degrees two-theta:
- 22.23°, intensity 76, hkl 2 0 2
- 22.62°, intensity 93, hkl 2 0 -3
- 29.15°, intensity 100, hkl 3 1 -1
- 29.54°, intensity 48, hkl 3 1 0
- 30.65°, intensity 99, hkl 3 1 -2
- 31.74°, intensity 67, hkl 3 1 1
- 33.80°, intensity 52, hkl 3 1 -3
- 36.10°, intensity 45, hkl 1 1 -4
- 38.96°, intensity 51, hkl 1 1 4
- 44.05°, intensity 59, hkl 0 2 0

Crystal structure
```
data_Pr4HoSe7
_chemical_formula_sum 'Pr8 Ho2 Se14'
_cell_length_a 13.860
_cell_length_b 4.112
_cell_length_c 12.511
_cell_angle_alpha 90.00
_cell_angle_beta 105.02
_cell_angle_gamma 90.00
_space_group_name_H-M_alt 'C 1 m 1'
_space_group_IT_number 8
_space_group_name_Hall 'C -2y'
loop_
_atom_site_label
_atom_site_fract_x
_atom_site_fract_y
_atom_site_fract_z
Pr1 0.000 0.000 0.000
Pr2 0.087 0.500 0.381
Pr3 0.189 0.000 0.767
Pr4 0.387 0.500 0.571
Ho1 0.275 0.500 0.151
Se1 0.049 0.500 0.624
Se2 0.132 0.500 0.931
Se3 0.156 0.000 0.222
Se4 0.225 0.000 0.523
Se5 0.349 0.500 0.790
Se6 0.382 0.000 0.078
Se7 0.425 0.500 0.351
```

(10)
Pr2HoSe4: calculated powder XRD pattern (Cu Kα (weighted mean of Kα1 and Kα2)), based on a PBE-relaxed structure.
Neutral-atom scattering factors, no anomalous dispersion.

Largest 10 diffraction maxima, sorted by position, 10 to 90 degrees two-theta:
- 13.07°, intensity 21, hkl 1 0 1
- 30.14°, intensity 100, hkl 2 2 0
- 30.71°, intensity 47, hkl 0 0 4
- 42.80°, intensity 19, hkl 0 4 0
- 43.55°, intensity 90, hkl 4 0 0
- 53.60°, intensity 19, hkl 0 4 4
- 54.18°, intensity 19, hkl 4 0 4
- 71.40°, intensity 16, hkl 4 4 4
- 72.30°, intensity 16, hkl 2 2 8
- 78.93°, intensity 12, hkl 2 6 4

Crystal structure
```
data_Pr2HoSe4
_chemical_formula_sum 'Pr8 Ho4 Se16'
_cell_length_a 8.324
_cell_length_b 8.451
_cell_length_c 11.646
_cell_angle_alpha 90.00
_cell_angle_beta 90.00
_cell_angle_gamma 90.00
_space_group_name_H-M_alt 'I m m a'
_space_group_IT_number 74
_space_group_name_Hall '-I 2b 2'
loop_
_atom_site_label
_atom_site_fract_x
_atom_site_fract_y
_atom_site_fract_z
Pr1 0.000 0.000 0.000
Pr2 0.250 0.250 0.250
Ho1 0.250 0.250 0.750
Se1 0.000 0.011 0.742
Se2 0.248 0.250 0.505
```

(11)
Pr2YHoSe6: calculated powder XRD pattern (Cu Kα (weighted mean of Kα1 and Kα2)), based on a PBE-relaxed structure.
Neutral-atom scattering factors, no anomalous dispersion.

Largest 10 diffraction maxima, sorted by position, 10 to 90 degrees two-theta:
- 16.57°, intensity 42, hkl 0 1 2
- 22.90°, intensity 60, hkl 1 0 4
- 24.12°, intensity 35, hkl 1 1 0
- 27.78°, intensity 81, hkl 1 1 3
- 33.50°, intensity 49, hkl 0 2 4
- 36.80°, intensity 100, hkl 1 1 6
- 41.70°, intensity 39, hkl 2 1 4
- 42.42°, intensity 70, hkl 3 0 0
- 48.67°, intensity 37, hkl 1 0 10
- 57.39°, intensity 24, hkl 4 -2 6

Crystal structure
```
data_Pr2YHoSe6
_chemical_formula_sum 'Pr6 Y3 Ho3 Se18'
_cell_length_a 7.3809
_cell_length_b 7.3809
_cell_length_c 19.5507
_cell_angle_alpha 90.00
_cell_angle_beta 90.00
_cell_angle_gamma 120.00
_space_group_name_H-M_alt 'R 3'
_space_group_IT_number 146
_space_group_name_Hall 'R 3'
loop_
_atom_site_label
_atom_site_fract_x
_atom_site_fract_y
_atom_site_fract_z
Pr1 0.0000 0.0000 0.0000
Pr2 0.0000 0.0000 0.5000
Y1 0.0000 0.0000 0.2019
Ho1 0.0000 0.0000 0.7018
Se1 0.0447 0.6907 0.7732
Se2 0.0457 0.3559 0.2737
```

(12)
Pr3YHo3Se8: calculated powder XRD pattern (Cu Kα (weighted mean of Kα1 and Kα2)), based on a PBE-relaxed structure.
Neutral-atom scattering factors, no anomalous dispersion.

Largest 10 diffraction maxima, sorted by position, 10 to 90 degrees two-theta:
- 15.12°, intensity 9, hkl 0 1 2
- 26.45°, intensity 7, hkl 2 0 2
- 30.51°, intensity 100, hkl 0 2 4
- 43.41°, intensity 37, hkl 2 0 8
- 43.96°, intensity 37, hkl 2 2 0
- 54.46°, intensity 19, hkl 4 0 4
- 63.50°, intensity 12, hkl 0 4 8
- 71.66°, intensity 16, hkl 2 2 12
- 72.48°, intensity 16, hkl 2 4 4
- 80.44°, intensity 12, hkl 4 2 8

Crystal structure
```
data_Pr3YHo3Se8
_chemical_formula_sum 'Pr9 Y3 Ho9 Se24'
_cell_length_a 8.2380
_cell_length_b 8.2380
_cell_length_c 20.5531
_cell_angle_alpha 90.00
_cell_angle_beta 90.00
_cell_angle_gamma 120.00
_space_group_name_H-M_alt 'R -3 m'
_space_group_IT_number 166
_space_group_name_Hall '-R 3 2"'
loop_
_atom_site_label
_atom_site_fract_x
_atom_site_fract_y
_atom_site_fract_z
Pr1 0.0000 0.5000 0.0000
Y1 0.0000 0.0000 0.5000
Ho1 0.0000 0.5000 0.5000
Se1 0.0000 0.0000 0.2440
Se2 0.0077 0.5038 0.7541
```

(13)
PrHo2Si4: calculated powder XRD pattern (Cu Kα (weighted mean of Kα1 and Kα2)), based on a PBE-relaxed structure.
Neutral-atom scattering factors, no anomalous dispersion.

Largest 10 diffraction maxima, sorted by position, 10 to 90 degrees two-theta:
- 21.24°, intensity 29, hkl 0 1 1
- 27.52°, intensity 64, hkl 1 0 3
- 30.55°, intensity 28, hkl 0 0 6
- 32.63°, intensity 100, hkl 1 1 2
- 32.91°, intensity 58, hkl 0 1 5
- 37.27°, intensity 19, hkl 1 1 4
- 41.94°, intensity 24, hkl 0 2 0
- 50.90°, intensity 24, hkl 1 2 3
- 52.36°, intensity 23, hkl 1 1 8
- 58.27°, intensity 22, hkl 2 1 5

Crystal structure
```
data_PrHo2Si4
_chemical_formula_sum 'Pr2 Ho4 Si8'
_cell_length_a 3.894
_cell_length_b 4.308
_cell_length_c 17.555
_cell_angle_alpha 90.00
_cell_angle_beta 90.00
_cell_angle_gamma 90.00
_space_group_name_H-M_alt 'I m m m'
_space_group_IT_number 71
_space_group_name_Hall '-I 2 2'
loop_
_atom_site_label
_atom_site_fract_x
_atom_site_fract_y
_atom_site_fract_z
Pr1 0.000 0.000 0.000
Ho1 0.000 0.500 0.317
Si1 0.000 0.000 0.432
Si2 0.000 0.500 0.151
```